ZrFe2Os: simulated powder XRD pattern (copper Kα), based on a PBE-relaxed structure.
Kinematic intensities with the Lorentz-polarization factor, no thermal factor.

Top 6 peaks for 10° ≤ 2θ ≤ 90°, in order of rising 2θ:
| two_theta | I/Imax |
| --- | --- |
| 20.42 | 30 |
| 20.85 | 44 |
| 40.61 | 100 |
| 41.25 | 48 |
| 41.52 | 94 |
| 42.44 | 44 |

Crystal structure
a b c (Å): 5.024 5.024 2.741
angles (deg): 99.55 99.55 115.96
Fractional coordinates of all 4 atoms:
Zr  0.000  0.000  0.000
Fe  0.000  0.500  0.500
Fe  0.500  0.000  0.500
Os  0.500  0.500  0.000